No. 1
# CdCu5Au7
Simulated powder diffraction line list, Cu Kα, 1.54184 Å. Input: a GGA-PBE-relaxed structure.
Lines closer than 0.1° are merged.

Peak list (12 most intense, 10° ≤ 2θ ≤ 90°, by intensity)
d_spacing, two_theta, I (rel.), (hkl)
2.601, 34.48, 100, 2 0 0
2.020, 44.88, 88, 2 2 2
2.260, 39.89, 87, 1 3 2
1.314, 71.86, 39, 1 3 6
2.037, 44.48, 39, 1 1 4
2.270, 39.71, 38, 1 2 3
3.207, 27.82, 31, 0 2 2
1.300, 72.71, 28, 4 0 0
2.283, 39.47, 27, 0 0 4
2.253, 40.03, 27, 0 4 0
2.627, 34.13, 23, 1 0 3
1.365, 68.77, 23, 1 5 4

Crystal structure
```
data_CdCu5Au7
_chemical_formula_sum 'Cd2 Cu10 Au14'
_cell_length_a 5.201
_cell_length_b 9.012
_cell_length_c 9.133
_cell_angle_alpha 90.00
_cell_angle_beta 90.00
_cell_angle_gamma 90.00
_space_group_name_H-M_alt 'I m m 2'
_space_group_IT_number 44
_space_group_name_Hall 'I 2 -2'
loop_
_atom_site_label
_atom_site_type_symbol
_atom_site_fract_x
_atom_site_fract_y
_atom_site_fract_z
Cd1 Cd 0.000 0.000 0.000
Cu1 Cu 0.000 0.500 0.266
Cu2 Cu 0.248 0.255 0.253
Au1 Au 0.000 0.000 0.349
Au2 Au 0.000 0.000 0.673
Au3 Au 0.000 0.306 0.498
Au4 Au 0.000 0.335 0.008
Au5 Au 0.000 0.500 0.736
```

---

No. 2
# Ba3Tl4Ag4
Simulated powder diffraction line list, Cu Kα, 1.54184 Å. Input: a GGA-PBE-relaxed structure.
Lines closer than 0.1° are merged.

Peak list (12 most intense, 10° ≤ 2θ ≤ 90°, by intensity)
d_spacing, two_theta, I (rel.), (hkl)
3.073, 29.05, 100, 1 1 1
2.439, 36.86, 31, 0 1 5
2.511, 35.76, 31, 0 2 -1
3.143, 28.40, 31, 1 0 -4
2.254, 40.01, 24, 2 0 -1
2.264, 39.81, 21, 1 -1 5
1.655, 55.52, 19, -2 1 6
1.962, 46.26, 12, -1 2 3
4.459, 19.91, 12, 1 0 -1
1.535, 60.28, 11, 0 0 10
2.821, 31.72, 10, 0 1 -5
1.665, 55.16, 10, 1 -1 8

Crystal structure
```
data_Ba3Tl4Ag4
_chemical_formula_sum 'Ba3 Tl4 Ag4'
_cell_length_a 4.507
_cell_length_b 5.022
_cell_length_c 15.707
_cell_angle_alpha 99.13
_cell_angle_beta 98.22
_cell_angle_gamma 90.15
_space_group_name_H-M_alt 'P -1'
_space_group_IT_number 2
_space_group_name_Hall '-P 1'
loop_
_atom_site_label
_atom_site_type_symbol
_atom_site_fract_x
_atom_site_fract_y
_atom_site_fract_z
Ba1 Ba 0.000 0.000 0.000
Ba2 Ba 0.148 0.646 0.294
Tl1 Tl 0.253 0.254 0.506
Tl2 Tl 0.403 0.906 0.810
Ag1 Ag 0.310 0.811 0.621
Ag2 Ag 0.453 0.454 0.907
```

---

No. 3
# CaHoZnCu
Simulated powder diffraction line list, Cu Kα, 1.54184 Å. Input: a GGA-PBE-relaxed structure.
Lines closer than 0.1° are merged.

Peak list (12 most intense, 10° ≤ 2θ ≤ 90°, by intensity)
d_spacing, two_theta, I (rel.), (hkl)
2.520, 35.62, 100, 1 0 2
7.150, 12.38, 54, 0 0 1
2.513, 35.73, 52, 1 1 0
1.452, 64.13, 34, 2 1 2
1.777, 51.43, 18, 2 0 0
3.182, 28.04, 15, 1 0 1
2.371, 37.95, 15, 1 1 1
1.979, 45.84, 15, 1 0 3
1.124, 86.60, 15, 3 1 0
1.457, 63.91, 15, 1 1 4
1.260, 75.44, 9, 2 0 4
1.322, 71.33, 8, 2 1 3

Crystal structure
```
data_CaHoZnCu
_chemical_formula_sum 'Ca1 Ho1 Zn1 Cu1'
_cell_length_a 3.554
_cell_length_b 3.554
_cell_length_c 7.150
_cell_angle_alpha 90.00
_cell_angle_beta 90.00
_cell_angle_gamma 90.00
_space_group_name_H-M_alt 'P 4 m m'
_space_group_IT_number 99
_space_group_name_Hall 'P 4 -2'
loop_
_atom_site_label
_atom_site_type_symbol
_atom_site_fract_x
_atom_site_fract_y
_atom_site_fract_z
Ca1 Ca 0.000 0.000 0.000
Ho1 Ho 0.000 0.000 0.516
Zn1 Zn 0.500 0.500 0.277
Cu1 Cu 0.500 0.500 0.725
```

---

No. 4
# Nd3Ag2Au6
Simulated powder diffraction line list, Cu Kα, 1.54184 Å. Input: a GGA-PBE-relaxed structure.
Lines closer than 0.1° are merged.

Peak list (12 most intense, 10° ≤ 2θ ≤ 90°, by intensity)
d_spacing, two_theta, I (rel.), (hkl)
2.811, 31.84, 100, 1 1 4
2.270, 39.71, 86, 1 1 8
2.192, 41.18, 78, 2 0 0
2.543, 35.30, 50, 1 1 6
6.666, 13.28, 35, 0 0 4
1.280, 74.06, 28, 3 1 8
1.550, 59.65, 26, 2 2 0
1.693, 54.17, 23, 2 0 10
2.455, 36.61, 23, 1 0 9
1.357, 69.22, 22, 3 1 4
2.666, 33.61, 22, 0 0 10
1.323, 71.25, 13, 3 1 6

Crystal structure
```
data_Nd3Ag2Au6
_chemical_formula_sum 'Nd6 Ag4 Au12'
_cell_length_a 4.384
_cell_length_b 4.384
_cell_length_c 26.664
_cell_angle_alpha 90.00
_cell_angle_beta 90.00
_cell_angle_gamma 90.00
_space_group_name_H-M_alt 'I 4/m m m'
_space_group_IT_number 139
_space_group_name_Hall '-I 4 2'
loop_
_atom_site_label
_atom_site_type_symbol
_atom_site_fract_x
_atom_site_fract_y
_atom_site_fract_z
Nd1 Nd 0.000 0.000 0.000
Nd2 Nd 0.000 0.000 0.199
Ag1 Ag 0.000 0.000 0.451
Au1 Au 0.000 0.000 0.313
Au2 Au 0.000 0.500 0.112
```

---

No. 5
# Zr4FeRu3
Simulated powder diffraction line list, Cu Kα, 1.54184 Å. Input: a GGA-PBE-relaxed structure.
Lines closer than 0.1° are merged.

Peak list (9 most intense, 10° ≤ 2θ ≤ 90°, by intensity)
d_spacing, two_theta, I (rel.), (hkl)
2.302, 39.13, 100, 1 1 0
1.329, 70.90, 33, 2 1 4
1.629, 56.50, 11, 2 0 0
1.151, 84.09, 10, 2 2 0
1.626, 56.60, 5, 0 0 8
2.604, 34.44, 1, 1 0 3
3.160, 28.24, 1, 1 0 1
2.913, 30.70, 1, 1 0 2
6.504, 13.61, 1, 0 0 2

Crystal structure
```
data_Zr4FeRu3
_chemical_formula_sum 'Zr4 Fe1 Ru3'
_cell_length_a 3.258
_cell_length_b 3.258
_cell_length_c 13.008
_cell_angle_alpha 90.00
_cell_angle_beta 90.00
_cell_angle_gamma 90.00
_space_group_name_H-M_alt 'P 4/m m m'
_space_group_IT_number 123
_space_group_name_Hall '-P 4 2'
loop_
_atom_site_label
_atom_site_type_symbol
_atom_site_fract_x
_atom_site_fract_y
_atom_site_fract_z
Zr1 Zr 0.000 0.000 0.120
Zr2 Zr 0.000 0.000 0.373
Fe1 Fe 0.500 0.500 0.000
Ru1 Ru 0.500 0.500 0.248
Ru2 Ru 0.500 0.500 0.500
```

---

No. 6
# Y3Cu2
Simulated powder diffraction line list, Cu Kα, 1.54184 Å. Input: a GGA-PBE-relaxed structure.
Lines closer than 0.1° are merged.

Peak list (12 most intense, 10° ≤ 2θ ≤ 90°, by intensity)
d_spacing, two_theta, I (rel.), (hkl)
2.843, 31.46, 100, 1 1 1
2.598, 34.52, 59, 0 4 1
2.476, 36.28, 40, 1 3 1
2.248, 40.12, 37, 2 0 0
2.406, 37.37, 34, 1 5 0
1.700, 53.94, 32, 2 4 1
3.265, 27.32, 29, 1 3 0
2.033, 44.57, 27, 1 5 1
1.899, 47.89, 22, 0 0 2
1.492, 62.24, 20, 1 5 2
7.122, 12.43, 20, 0 2 0
1.451, 64.20, 17, 2 0 2

Crystal structure
```
data_Y3Cu2
_chemical_formula_sum 'Y6 Cu4'
_cell_length_a 4.496
_cell_length_b 14.245
_cell_length_c 3.799
_cell_angle_alpha 90.00
_cell_angle_beta 90.00
_cell_angle_gamma 90.00
_space_group_name_H-M_alt 'C m m m'
_space_group_IT_number 65
_space_group_name_Hall '-C 2 2'
loop_
_atom_site_label
_atom_site_type_symbol
_atom_site_fract_x
_atom_site_fract_y
_atom_site_fract_z
Y1 Y 0.000 0.000 0.000
Y2 Y 0.000 0.354 0.500
Cu1 Cu 0.000 0.203 0.000
```

---

No. 7
# FeSiPt3
Simulated powder diffraction line list, Cu Kα, 1.54184 Å. Input: a GGA-PBE-relaxed structure.
Lines closer than 0.1° are merged.

Peak list (12 most intense, 10° ≤ 2θ ≤ 90°, by intensity)
d_spacing, two_theta, I (rel.), (hkl)
2.598, 34.53, 100, 1 1 1
2.250, 40.08, 60, 2 0 0
1.591, 57.98, 41, 2 2 0
1.357, 69.27, 40, 3 1 1
4.499, 19.73, 21, 1 0 0
1.299, 72.82, 14, 2 2 2
2.012, 45.06, 10, 2 1 0
3.181, 28.05, 7, 1 1 0
1.125, 86.54, 7, 4 0 0
1.500, 61.87, 5, 3 0 0
1.837, 49.63, 3, 2 1 1
1.091, 89.90, 3, 4 1 0

Crystal structure
```
data_FeSiPt3
_chemical_formula_sum 'Fe1 Si1 Pt3'
_cell_length_a 4.499
_cell_length_b 4.499
_cell_length_c 4.499
_cell_angle_alpha 90.00
_cell_angle_beta 90.00
_cell_angle_gamma 90.00
_space_group_name_H-M_alt 'P m -3 m'
_space_group_IT_number 221
_space_group_name_Hall '-P 4 2 3'
loop_
_atom_site_label
_atom_site_type_symbol
_atom_site_fract_x
_atom_site_fract_y
_atom_site_fract_z
Fe1 Fe 0.000 0.000 0.000
Si1 Si 0.500 0.500 0.500
Pt1 Pt 0.000 0.500 0.500
```

---

No. 8
# PbAu5
Simulated powder diffraction line list, Cu Kα, 1.54184 Å. Input: a GGA-PBE-relaxed structure.
Lines closer than 0.1° are merged.

Peak list (12 most intense, 10° ≤ 2θ ≤ 90°, by intensity)
d_spacing, two_theta, I (rel.), (hkl)
2.476, 36.28, 100, 1 3 1
2.252, 40.03, 19, 2 0 0
2.224, 40.57, 19, 0 0 2
1.340, 70.27, 15, 3 3 1
1.327, 71.01, 15, 1 3 3
1.582, 58.31, 13, 2 0 2
1.989, 45.62, 13, 0 6 0
1.238, 77.01, 12, 2 6 2
1.223, 78.17, 11, 1 9 1
1.491, 62.28, 10, 2 6 0
1.482, 62.67, 10, 0 6 2
1.126, 86.40, 2, 4 0 0

Crystal structure
```
data_PbAu5
_chemical_formula_sum 'Pb2 Au10'
_cell_length_a 4.505
_cell_length_b 11.932
_cell_length_c 4.447
_cell_angle_alpha 90.00
_cell_angle_beta 90.00
_cell_angle_gamma 90.00
_space_group_name_H-M_alt 'C m m m'
_space_group_IT_number 65
_space_group_name_Hall '-C 2 2'
loop_
_atom_site_label
_atom_site_type_symbol
_atom_site_fract_x
_atom_site_fract_y
_atom_site_fract_z
Pb1 Pb 0.000 0.000 0.000
Au1 Au 0.000 0.174 0.500
Au2 Au 0.000 0.329 0.000
Au3 Au 0.000 0.500 0.500
```

---

No. 9
# Dy4Mg5In
Simulated powder diffraction line list, Cu Kα, 1.54184 Å. Input: a GGA-PBE-relaxed structure.
Lines closer than 0.1° are merged.

Peak list (12 most intense, 10° ≤ 2θ ≤ 90°, by intensity)
d_spacing, two_theta, I (rel.), (hkl)
2.631, 34.08, 100, 0 2 0
2.650, 33.83, 70, 3 1 -2
3.747, 23.74, 42, 1 1 1
2.673, 33.52, 35, 2 0 2
1.874, 48.59, 24, 2 2 2
1.518, 61.03, 24, 5 3 0
3.723, 23.90, 20, 4 0 -1
1.521, 60.90, 19, 3 3 -2
1.533, 60.38, 19, 7 1 2
5.648, 15.69, 15, 2 0 -1
6.308, 14.04, 14, 0 0 1
4.077, 21.80, 13, 1 1 -1

Crystal structure
```
data_Dy4Mg5In
_chemical_formula_sum 'Dy8 Mg10 In2'
_cell_length_a 15.781
_cell_length_b 5.253
_cell_length_c 6.542
_cell_angle_alpha 90.00
_cell_angle_beta 105.38
_cell_angle_gamma 90.00
_space_group_name_H-M_alt 'C 1 2/m 1'
_space_group_IT_number 12
_space_group_name_Hall '-C 2y'
loop_
_atom_site_label
_atom_site_type_symbol
_atom_site_fract_x
_atom_site_fract_y
_atom_site_fract_z
Dy1 Dy 0.099 0.000 0.393
Dy2 Dy 0.195 0.500 0.808
Mg1 Mg 0.000 0.500 0.000
Mg2 Mg 0.098 0.000 0.911
Mg3 Mg 0.200 0.500 0.303
In1 In 0.000 0.500 0.500
```

---

No. 10
# TaGaPb2O6
Simulated powder diffraction line list, Cu Kα, 1.54184 Å. Input: a GGA-PBE-relaxed structure.
Lines closer than 0.1° are merged.

Peak list (12 most intense, 10° ≤ 2θ ≤ 90°, by intensity)
d_spacing, two_theta, I (rel.), (hkl)
2.862, 31.25, 100, 1 1 1
2.835, 31.56, 49, 2 0 0
1.642, 56.01, 40, 3 1 1
2.004, 45.24, 27, 2 2 0
1.658, 55.42, 21, 2 0 2
1.431, 65.19, 16, 2 2 2
2.044, 44.32, 13, 0 0 2
2.329, 38.65, 9, 2 0 1
1.268, 74.91, 9, 4 2 0
1.270, 74.74, 9, 3 3 1
1.290, 73.39, 9, 1 1 3
1.417, 65.90, 8, 4 0 0

Crystal structure
```
data_TaGaPb2O6
_chemical_formula_sum 'Ta1 Ga1 Pb2 O6'
_cell_length_a 5.669
_cell_length_b 5.669
_cell_length_c 4.088
_cell_angle_alpha 90.00
_cell_angle_beta 90.00
_cell_angle_gamma 90.00
_space_group_name_H-M_alt 'P 4 m m'
_space_group_IT_number 99
_space_group_name_Hall 'P 4 -2'
loop_
_atom_site_label
_atom_site_type_symbol
_atom_site_fract_x
_atom_site_fract_y
_atom_site_fract_z
Ta1 Ta 0.000 0.000 0.000
Ga1 Ga 0.500 0.500 0.011
Pb1 Pb 0.000 0.500 0.467
O1 O 0.000 0.000 0.527
O2 O 0.246 0.246 0.044
O3 O 0.500 0.500 0.531
```

---

No. 11
# Dy12MgNi5
Simulated powder diffraction line list, Cu Kα, 1.54184 Å. Input: a GGA-PBE-relaxed structure.
Lines closer than 0.1° are merged.

Peak list (12 most intense, 10° ≤ 2θ ≤ 90°, by intensity)
d_spacing, two_theta, I (rel.), (hkl)
2.778, 32.23, 100, 2 2 2
2.581, 34.76, 64, 1 3 2
2.605, 34.42, 63, 2 1 3
2.549, 35.21, 49, 2 3 1
1.537, 60.19, 37, 5 3 2
1.632, 56.37, 36, 3 5 0
3.130, 28.51, 35, 0 1 3
1.563, 59.12, 35, 6 0 0
2.971, 30.08, 34, 3 1 0
2.530, 35.47, 32, 3 2 1
3.037, 29.41, 30, 0 3 1
1.688, 54.34, 23, 0 3 5

Crystal structure
```
data_Dy12MgNi5
_chemical_formula_sum 'Dy24 Mg2 Ni10'
_cell_length_a 9.377
_cell_length_b 9.566
_cell_length_c 9.950
_cell_angle_alpha 90.00
_cell_angle_beta 90.00
_cell_angle_gamma 90.00
_space_group_name_H-M_alt 'I m m m'
_space_group_IT_number 71
_space_group_name_Hall '-I 2 2'
loop_
_atom_site_label
_atom_site_type_symbol
_atom_site_fract_x
_atom_site_fract_y
_atom_site_fract_z
Dy1 Dy 0.000 0.190 0.211
Dy2 Dy 0.193 0.500 0.179
Dy3 Dy 0.205 0.319 0.500
Mg1 Mg 0.000 0.000 0.500
Ni1 Ni 0.000 0.000 0.000
Ni2 Ni 0.000 0.366 0.000
Ni3 Ni 0.000 0.500 0.377
```